1.
# Tl2VBr5
Theoretical powder XRD pattern, a wavelength of 1.5418 Å. Input: a crystal structure in Alexandria, relaxed with GGA-PBE.

Peak list (10 most intense, 2θ from 15° to 90°, in order of falling intensity)
| Position (°2θ) | I (rel.) |
| --- | --- |
| 31.0 | 100 |
| 34.0 | 74 |
| 33.5 | 68 |
| 22.0 | 65 |
| 34.9 | 54 |
| 49.5 | 51 |
| 24.3 | 35 |
| 26.0 | 24 |
| 27.4 | 24 |
| 35.8 | 24 |

Structure:
a = 8.2382 Å, b = 8.2382 Å, c = 14.3015 Å
α = 90.00°, β = 90.00°, γ = 143.60°
Atoms (fractional coordinates):
Tl  0.1189  0.8811  0.5140
Tl  0.1189  0.8811  0.9860
Tl  0.8811  0.1189  0.0140
Tl  0.8811  0.1189  0.4860
V  0.4124  0.5876  0.2500
V  0.5876  0.4124  0.7500
Br  0.1053  0.8947  0.7500
Br  0.2925  0.7075  0.1211
Br  0.2925  0.7075  0.3789
Br  0.4773  0.5227  0.6258
Br  0.4773  0.5227  0.8742
Br  0.5227  0.4773  0.1258
Br  0.5227  0.4773  0.3742
Br  0.7075  0.2925  0.6211
Br  0.7075  0.2925  0.8789
Br  0.8947  0.1053  0.2500

***

2.
# KCaTl2Br8
Theoretical powder XRD pattern, a wavelength of 1.5418 Å. Input: a crystal structure in Alexandria, relaxed with GGA-PBE.

Peak list (10 most intense, 2θ from 15° to 90°, in order of falling intensity)
| Position (°2θ) | I (rel.) |
| --- | --- |
| 16.5 | 100 |
| 25.9 | 74 |
| 43.6 | 57 |
| 42.9 | 54 |
| 29.6 | 49 |
| 46.6 | 37 |
| 24.4 | 35 |
| 30.1 | 33 |
| 38.7 | 32 |
| 17.6 | 31 |

Structure:
a = 7.3095 Å, b = 7.3095 Å, c = 10.1023 Å
α = 90.00°, β = 90.00°, γ = 120.00°
Atoms (fractional coordinates):
K  0.0000  0.0000  0.0000
Ca  0.0000  0.0000  0.5000
Tl  0.3333  0.6667  0.7454
Tl  0.6667  0.3333  0.2546
Br  0.0310  0.7040  0.3217
Br  0.2960  0.3270  0.3217
Br  0.3270  0.0310  0.6783
Br  0.3333  0.6667  0.0093
Br  0.6667  0.3333  0.9907
Br  0.6730  0.9690  0.3217
Br  0.7040  0.6730  0.6783
Br  0.9690  0.2960  0.6783

***

3.
# Ir2C3N6
Theoretical powder XRD pattern, a wavelength of 1.5418 Å. Input: a crystal structure in Alexandria, relaxed with GGA-PBE.

Peak list (10 most intense, 2θ from 15° to 90°, in order of falling intensity)
| Position (°2θ) | I (rel.) |
| --- | --- |
| 19.2 | 100 |
| 33.7 | 84 |
| 17.7 | 58 |
| 32.6 | 43 |
| 32.0 | 38 |
| 39.0 | 34 |
| 41.1 | 33 |
| 45.3 | 31 |
| 56.9 | 26 |
| 27.9 | 24 |

Structure:
a = 8.5022 Å, b = 8.5022 Å, c = 5.0833 Å
α = 98.62°, β = 98.62°, γ = 22.06°
Atoms (fractional coordinates):
Ir  0.1703  0.1703  0.3513
Ir  0.8297  0.8297  0.6487
C  0.0000  0.0000  0.5000
C  0.3243  0.3243  0.1454
C  0.6757  0.6757  0.8546
N  0.0528  0.0528  0.3565
N  0.3007  0.3007  0.3725
N  0.3374  0.3374  0.9165
N  0.6626  0.6626  0.0835
N  0.6993  0.6993  0.6275
N  0.9472  0.9472  0.6435

***

4.
# PmNd14Al
Theoretical powder XRD pattern, a wavelength of 1.5418 Å. Input: a crystal structure in Alexandria, relaxed with GGA-PBE.

Peak list (10 most intense, 2θ from 15° to 90°, in order of falling intensity)
| Position (°2θ) | I (rel.) |
| --- | --- |
| 30.2 | 100 |
| 34.9 | 34 |
| 59.7 | 28 |
| 50.4 | 23 |
| 35.2 | 16 |
| 60.1 | 13 |
| 50.2 | 12 |
| 62.8 | 12 |
| 82.1 | 11 |
| 81.7 | 6 |

Structure:
a = 10.1939 Å, b = 7.2658 Å, c = 7.2658 Å
α = 90.01°, β = 90.00°, γ = 90.00°
Atoms (fractional coordinates):
Pm  0.0000  0.0000  0.0000
Nd  0.0000  0.0017  0.4992
Nd  0.0000  0.4992  0.0017
Nd  0.2409  0.7436  0.7436
Nd  0.2421  0.2567  0.2567
Nd  0.2415  0.2566  0.7438
Nd  0.2415  0.7438  0.2566
Nd  0.5000  0.0004  0.0004
Nd  0.5000  0.4999  0.4999
Nd  0.5000  0.5009  0.9993
Nd  0.5000  0.9993  0.5009
Nd  0.7579  0.2567  0.2567
Nd  0.7585  0.2566  0.7438
Nd  0.7585  0.7438  0.2566
Nd  0.7591  0.7436  0.7436
Al  0.0000  0.4998  0.4998

***

5.
# Cs3Ce2Br9
Theoretical powder XRD pattern, a wavelength of 1.5418 Å. Input: a crystal structure in Alexandria, relaxed with GGA-PBE.

Peak list (10 most intense, 2θ from 15° to 90°, in order of falling intensity)
| Position (°2θ) | I (rel.) |
| --- | --- |
| 28.4 | 100 |
| 36.9 | 32 |
| 44.1 | 29 |
| 48.3 | 22 |
| 21.6 | 20 |
| 26.7 | 18 |
| 53.3 | 15 |
| 52.3 | 14 |
| 71.6 | 12 |
| 29.6 | 9 |

Structure:
a = 10.5832 Å, b = 10.5832 Å, c = 10.5832 Å
α = 84.51°, β = 84.51°, γ = 84.51°
Atoms (fractional coordinates):
Cs  0.0846  0.7500  0.4154
Cs  0.2500  0.5846  0.9154
Cs  0.4154  0.0846  0.7500
Cs  0.5846  0.9154  0.2500
Cs  0.7500  0.4154  0.0846
Cs  0.9154  0.2500  0.5846
Ce  0.1485  0.1485  0.1485
Ce  0.3515  0.3515  0.3515
Ce  0.6485  0.6485  0.6485
Ce  0.8515  0.8515  0.8515
Br  0.0772  0.2691  0.9120
Br  0.0880  0.9228  0.7309
Br  0.0936  0.4064  0.2500
Br  0.2309  0.4228  0.5880
Br  0.2500  0.0936  0.4064
Br  0.2691  0.9120  0.0772
Br  0.4064  0.2500  0.0936
Br  0.4120  0.7691  0.5772
Br  0.4228  0.5880  0.2309
Br  0.5772  0.4120  0.7691
Br  0.5880  0.2309  0.4228
Br  0.5936  0.7500  0.9064
Br  0.7309  0.0880  0.9228
Br  0.7500  0.9064  0.5936
Br  0.7691  0.5772  0.4120
Br  0.9064  0.5936  0.7500
Br  0.9120  0.0772  0.2691
Br  0.9228  0.7309  0.0880

***

6.
# ThSc4Au5
Theoretical powder XRD pattern, a wavelength of 1.5418 Å. Input: a crystal structure in Alexandria, relaxed with GGA-PBE.

Peak list (10 most intense, 2θ from 15° to 90°, in order of falling intensity)
| Position (°2θ) | I (rel.) |
| --- | --- |
| 36.5 | 100 |
| 37.2 | 57 |
| 66.6 | 34 |
| 26.1 | 25 |
| 53.7 | 20 |
| 30.2 | 17 |
| 33.1 | 11 |
| 65.1 | 10 |
| 63.6 | 9 |
| 25.0 | 9 |

Structure:
a = 3.4155 Å, b = 3.4155 Å, c = 17.8019 Å
α = 90.00°, β = 90.00°, γ = 90.00°
Atoms (fractional coordinates):
Th  0.0000  0.0000  0.0000
Sc  0.0000  0.0000  0.2136
Sc  0.0000  0.0000  0.4045
Sc  0.0000  0.0000  0.5955
Sc  0.0000  0.0000  0.7864
Au  0.5000  0.5000  0.1238
Au  0.5000  0.5000  0.3084
Au  0.5000  0.5000  0.5000
Au  0.5000  0.5000  0.6916
Au  0.5000  0.5000  0.8762